Diffraction record for Sr2Cd3Sn4. The powder diffractogram is simulated, not measured: it uses a PBE-relaxed structure and Cu Kα (λ = 1.5418 Å).

Peak list (8 most intense, 10° ≤ 2θ ≤ 80°, most intense first)
d [Å]	Position (°2θ)	I/Imax
2.664	33.6	100
2.905	30.8	63
2.933	30.5	40
2.805	31.9	35
2.422	37.1	30
2.746	32.6	26
2.181	41.4	19
1.557	59.4	19

Structural model:
a = 9.2796 Å, b = 9.2796 Å, c = 8.8943 Å
α = 90.00°, β = 90.00°, γ = 137.97°
Element x y z (fractional)
Sr1 0.1099 0.8901 0.9109
Sr2 0.3901 0.6099 0.4109
Sr3 0.6099 0.3901 0.5891
Sr4 0.8901 0.1099 0.0891
Cd1 0.0000 0.0000 0.5000
Cd2 0.0232 0.4768 0.7500
Cd3 0.4768 0.0232 0.2500
Cd4 0.5000 0.5000 0.0000
Cd5 0.5232 0.9768 0.7500
Cd6 0.9768 0.5232 0.2500
Sn1 0.1785 0.8215 0.5281
Sn2 0.1928 0.3072 0.7500
Sn3 0.3072 0.1928 0.2500
Sn4 0.3215 0.6785 0.0281
Sn5 0.6785 0.3215 0.9719
Sn6 0.6928 0.8072 0.7500
Sn7 0.8072 0.6928 0.2500
Sn8 0.8215 0.1785 0.4719